Record 1
Diffraction record for ZnBrO3. The XRD peak list is computed, not measured: it uses a PBE-relaxed structure and Cu Kα (λ = 1.5418 Å).
Neutral-atom scattering factors, no anomalous dispersion.

Atomic structure:
a b c (Å): 3.855 3.855 3.855
angles (deg): 90.00 90.00 90.00
Atoms (fractional coordinates):
Zn1 0.000 0.000 0.000
Br1 0.500 0.500 0.500
O1 0.000 0.000 0.500
O2 0.000 0.500 0.000
O3 0.500 0.000 0.000

Peak list (5 most intense, 2θ = 5–70°, in order of falling intensity)
| two_theta | I (rel.) |
| --- | --- |
| 32.9 | 100 |
| 58.7 | 38 |
| 47.2 | 38 |
| 68.9 | 21 |
| 40.5 | 7 |

---

Record 2
Diffraction record for Ba2NiW2. The XRD peak list is computed, not measured: it uses a PBE-relaxed structure and Cu Kα (λ = 1.5418 Å).
Neutral-atom scattering factors, no anomalous dispersion.

Atomic structure:
a b c (Å): 10.546 10.546 10.546
angles (deg): 160.07 160.07 28.34
Atoms (fractional coordinates):
Ba1 0.094 0.094 0.000
Ba2 0.906 0.906 0.000
Ni1 0.500 0.500 0.000
W1 0.250 0.750 0.500
W2 0.750 0.250 0.500

Peak list (10 most intense, 2θ = 5–70°, in order of falling intensity)
| two_theta | I (rel.) |
| --- | --- |
| 35.9 | 100 |
| 8.6 | 87 |
| 39.1 | 66 |
| 26.1 | 59 |
| 32.9 | 48 |
| 57.5 | 41 |
| 50.0 | 33 |
| 17.3 | 31 |
| 57.3 | 28 |
| 24.8 | 22 |

---

Record 3
Diffraction record for ErZrTc4. The XRD peak list is computed, not measured: it uses a PBE-relaxed structure and Cu Kα (λ = 1.5418 Å).
Neutral-atom scattering factors, no anomalous dispersion.

Atomic structure:
a b c (Å): 5.327 5.327 5.327
angles (deg): 60.00 60.00 60.00
Atoms (fractional coordinates):
Er1 0.000 0.000 0.000
Zr1 0.750 0.750 0.750
Tc1 0.375 0.375 0.375
Tc2 0.375 0.375 0.874
Tc3 0.375 0.874 0.375
Tc4 0.874 0.375 0.375

Peak list (10 most intense, 2θ = 5–70°, in order of falling intensity)
| two_theta | I (rel.) |
| --- | --- |
| 39.7 | 100 |
| 33.6 | 35 |
| 41.5 | 33 |
| 64.2 | 32 |
| 60.2 | 13 |
| 20.4 | 3 |
| 23.6 | 3 |
| 48.3 | 2 |
| 54.5 | 1 |
| 53.0 | 1 |

---

Record 4
Diffraction record for NdB4C4. The XRD peak list is computed, not measured: it uses a PBE-relaxed structure and Cu Kα (λ = 1.5418 Å).
Neutral-atom scattering factors, no anomalous dispersion.

Atomic structure:
a b c (Å): 5.298 5.298 5.298
angles (deg): 94.16 94.16 148.76
Atoms (fractional coordinates):
Nd1 0.000 0.000 0.000
B1 0.185 0.632 0.818
B2 0.368 0.185 0.553
B3 0.632 0.815 0.447
B4 0.815 0.368 0.182
C1 0.209 0.398 0.607
C2 0.398 0.791 0.189
C3 0.602 0.209 0.811
C4 0.791 0.602 0.393

Peak list (10 most intense, 2θ = 5–70°, in order of falling intensity)
| two_theta | I (rel.) |
| --- | --- |
| 17.4 | 100 |
| 42.3 | 76 |
| 39.5 | 50 |
| 33.8 | 42 |
| 24.7 | 39 |
| 35.2 | 21 |
| 56.1 | 20 |
| 49.6 | 16 |
| 57.1 | 16 |
| 62.2 | 15 |